1.
Ce6In5Pd12: computed X-ray diffraction stick pattern (Cu Ka), based on a PBE-relaxed structure.
Peak positions follow from Bragg's law for the DFT cell and can differ from measured ones.

Cell lengths 8.2272, 8.2272, 16.3045 Å; angles 90.00, 90.00, 120.00 degrees
Space group P6_3/mcm (No. 193)
Unique sites:
Ce 0.0000 0.2772 0.1220 [12 per cell]
In 0.0000 0.3668 0.7500 [6 per cell]
In 0.3333 0.6667 0.0000 [4 per cell]
Pd 0.0000 0.0000 0.0000 [2 per cell]
Pd 0.0000 0.0000 0.2500 [2 per cell]
Pd 0.0000 0.3811 0.5717 [12 per cell]
Pd 0.3333 0.6667 0.1667 [8 per cell]

Largest 10 diffraction maxima, in order of rising 2θ, 2θ = 10–90°:
2θ = 30.88°, I = 17, (1 1 4); 2θ = 33.40°, I = 14, (2 0 4); 2θ = 33.73°, I = 27, (2 1 1); 2θ = 35.12°, I = 60, (1 1 5); 2θ = 37.26°, I = 17, (2 1 3); 2θ = 37.88°, I = 100, (3 0 0); 2θ = 39.75°, I = 46, (1 1 6); 2θ = 56.08°, I = 13, (2 2 6); 2θ = 67.12°, I = 13, (1 1 11); 2θ = 69.68°, I = 12, (4 1 6)

2.
CeInPd6: computed X-ray diffraction stick pattern (Cu Ka), based on a PBE-relaxed structure.
Peak positions follow from Bragg's law for the DFT cell and can differ from measured ones.

Cell lengths 5.7986, 5.7986, 4.7345 Å; angles 90.00, 90.00, 120.00 degrees
Space group P-6m2 (No. 187)
Unique sites:
Ce 0.0000 0.0000 0.0000 [1 per cell]
In 0.3333 0.6667 0.5000 [1 per cell]
Pd 0.3401 0.1701 0.5000 [3 per cell]
Pd 0.5010 0.0019 0.0000 [3 per cell]

Largest 10 diffraction maxima, in order of rising 2θ, 2θ = 10–90°:
2θ = 35.76°, I = 24, (2 0 0); 2θ = 38.01°, I = 27, (0 0 2); 2θ = 40.67°, I = 100, (2 0 1); 2θ = 53.18°, I = 15, (2 0 2); 2θ = 64.25°, I = 17, (2 2 0); 2θ = 70.48°, I = 19, (2 0 3); 2θ = 77.16°, I = 20, (2 2 2); 2θ = 78.88°, I = 14, (4 0 1); 2θ = 81.28°, I = 3, (0 0 4); 2θ = 88.07°, I = 4, (4 0 2)

3.
CeInPd14: computed X-ray diffraction stick pattern (Cu Ka), based on a PBE-relaxed structure.
Peak positions follow from Bragg's law for the DFT cell and can differ from measured ones.

Cell lengths 5.752, 5.752, 7.877 Å; angles 90.00, 90.00, 90.00 degrees
Space group P4/mmm (No. 123)
Unique sites:
Ce 0.000 0.000 0.000 [1 per cell]
In 0.500 0.500 0.000 [1 per cell]
Pd 0.000 0.000 0.500 [1 per cell]
Pd 0.000 0.500 0.000 [2 per cell]
Pd 0.000 0.500 0.500 [2 per cell]
Pd 0.251 0.251 0.254 [8 per cell]
Pd 0.500 0.500 0.500 [1 per cell]

Largest 8 diffraction maxima, in order of rising 2θ, 2θ = 10–90°:
2θ = 38.77°, I = 100, (2 0 2); 2θ = 44.56°, I = 34, (2 2 0); 2θ = 46.09°, I = 15, (0 0 4); 2θ = 64.84°, I = 11, (4 0 0); 2θ = 66.04°, I = 20, (2 2 4); 2θ = 78.18°, I = 25, (4 2 2); 2θ = 80.41°, I = 11, (2 0 6); 2θ = 83.19°, I = 11, (4 0 4)

4.
Ce2In5Pd4: computed X-ray diffraction stick pattern (Cu Ka), based on a PBE-relaxed structure.
Peak positions follow from Bragg's law for the DFT cell and can differ from measured ones.

Cell lengths 9.716, 4.681, 10.641 Å; angles 90.00, 102.32, 90.00 degrees
Space group P2_1/m (No. 11)
Unique sites:
Ce 0.173 0.250 0.201 [2 per cell]
Ce 0.276 0.250 0.609 [2 per cell]
In 0.076 0.750 0.421 [2 per cell]
In 0.093 0.250 0.860 [2 per cell]
In 0.333 0.750 0.846 [2 per cell]
In 0.382 0.750 0.425 [2 per cell]
In 0.418 0.750 0.152 [2 per cell]
Pd 0.070 0.750 0.684 [2 per cell]
Pd 0.134 0.750 0.015 [2 per cell]
Pd 0.374 0.250 0.000 [2 per cell]
Pd 0.479 0.250 0.316 [2 per cell]

Largest 10 diffraction maxima, in order of rising 2θ, 2θ = 10–90°:
2θ = 32.14°, I = 70, (0 1 3); 2θ = 33.75°, I = 39, (3 1 -1); 2θ = 34.06°, I = 91, (2 1 2); 2θ = 34.43°, I = 88, (2 1 -3); 2θ = 37.02°, I = 47, (4 0 -1); 2θ = 38.46°, I = 100, (0 2 0); 2θ = 40.26°, I = 58, (2 1 3); 2θ = 40.70°, I = 56, (2 1 -4); 2θ = 54.45°, I = 30, (4 2 -1); 2θ = 64.60°, I = 28, (6 1 1)

5.
CeYInPd: computed X-ray diffraction stick pattern (Cu Ka), based on a PBE-relaxed structure.
Peak positions follow from Bragg's law for the DFT cell and can differ from measured ones.

Cell lengths 7.407, 7.407, 7.407 Å; angles 90.00, 90.00, 90.00 degrees
Space group F-43m (No. 216)
Unique sites:
Ce 0.000 0.000 0.000 [4 per cell]
Y 0.000 0.000 0.500 [4 per cell]
In 0.250 0.250 0.250 [4 per cell]
Pd 0.250 0.250 0.750 [4 per cell]

Largest 10 diffraction maxima, in order of rising 2θ, 2θ = 10–90°:
2θ = 20.77°, I = 3, (1 1 1); 2θ = 34.24°, I = 100, (2 2 0); 2θ = 40.39°, I = 2, (3 1 1); 2θ = 49.21°, I = 18, (4 0 0); 2θ = 53.96°, I = 1, (3 3 1); 2θ = 61.31°, I = 36, (4 2 2); 2θ = 65.48°, I = 1, (5 1 1); 2θ = 72.14°, I = 11, (4 4 0); 2θ = 76.01°, I = 1, (5 3 1); 2θ = 82.34°, I = 15, (6 2 0)

6.
Ce3PmIn6: computed X-ray diffraction stick pattern (Cu Ka), based on a PBE-relaxed structure.
Peak positions follow from Bragg's law for the DFT cell and can differ from measured ones.

Cell lengths 12.5619, 12.5619, 6.5003 Å; angles 90.00, 90.00, 120.00 degrees
Space group R3m (No. 160, hexagonal axes)
Unique sites:
Ce 0.1058 0.5529 0.0000 [9 per cell]
Pm 0.0000 0.0000 0.1551 [3 per cell]
In 0.1603 0.0802 0.7374 [9 per cell]
In 0.1672 0.3344 0.8232 [9 per cell]

Largest 10 diffraction maxima, in order of rising 2θ, 2θ = 10–90°:
2θ = 14.10°, I = 17, (1 1 0); 2θ = 24.55°, I = 21, (3 0 0); 2θ = 28.42°, I = 24, (2 2 0); 2θ = 28.67°, I = 50, (0 1 2); 2θ = 32.08°, I = 28, (2 0 2); 2θ = 32.72°, I = 100, (1 3 1); 2θ = 35.20°, I = 22, (1 2 2); 2θ = 35.79°, I = 31, (4 0 1); 2θ = 38.64°, I = 23, (3 2 1); 2θ = 61.33°, I = 23, (7 0 1)

7.
CePm4In4: computed X-ray diffraction stick pattern (Cu Ka), based on a PBE-relaxed structure.
Peak positions follow from Bragg's law for the DFT cell and can differ from measured ones.

Cell lengths 7.259, 7.259, 10.974 Å; angles 90.00, 90.00, 90.00 degrees
Space group P4_2/nmc (No. 137, origin choice 2)
Unique sites:
Ce 0.250 0.750 0.250 [2 per cell]
Pm 0.024 0.250 0.171 [8 per cell]
In 0.026 0.250 0.469 [8 per cell]

Largest 10 diffraction maxima, in order of rising 2θ, 2θ = 10–90°:
2θ = 20.29°, I = 14, (1 0 2); 2θ = 28.68°, I = 83, (2 1 1); 2θ = 34.82°, I = 100, (2 0 3); 2θ = 34.96°, I = 68, (2 2 0); 2θ = 43.17°, I = 14, (2 1 4); 2θ = 50.28°, I = 25, (4 0 0); 2θ = 56.71°, I = 21, (3 2 4); 2θ = 62.34°, I = 15, (2 2 6); 2θ = 62.63°, I = 36, (4 2 3); 2θ = 73.85°, I = 13, (4 4 0)

8.
CePm2In2Rh5: computed X-ray diffraction stick pattern (Cu Ka), based on a PBE-relaxed structure.
Peak positions follow from Bragg's law for the DFT cell and can differ from measured ones.

Cell lengths 10.412, 10.412, 3.763 Å; angles 90.00, 90.00, 90.00 degrees
Space group P4/mbm (No. 127)
Unique sites:
Ce 0.000 0.000 0.000 [2 per cell]
Pm 0.167 0.333 0.000 [4 per cell]
In 0.130 0.630 0.000 [4 per cell]
Rh 0.000 0.500 0.500 [2 per cell]
Rh 0.060 0.803 0.500 [8 per cell]

Largest 10 diffraction maxima, in order of rising 2θ, 2θ = 10–90°:
2θ = 34.07°, I = 17, (2 2 1); 2θ = 35.55°, I = 28, (4 1 0); 2θ = 36.25°, I = 100, (3 1 1); 2θ = 36.62°, I = 18, (3 3 0); 2θ = 38.67°, I = 13, (4 2 0); 2θ = 39.33°, I = 23, (3 2 1); 2θ = 42.21°, I = 13, (4 0 1); 2θ = 48.37°, I = 18, (0 0 2); 2θ = 61.46°, I = 15, (4 1 2); 2θ = 62.18°, I = 14, (3 3 2)

9.
Ce5PrIn6: computed X-ray diffraction stick pattern (Cu Ka), based on a PBE-relaxed structure.
Peak positions follow from Bragg's law for the DFT cell and can differ from measured ones.

Cell lengths 4.837, 9.423, 14.547 Å; angles 90.00, 90.00, 90.00 degrees
Space group Immm (No. 71)
Unique sites:
Ce 0.000 0.000 0.000 [2 per cell]
Ce 0.000 0.000 0.324 [4 per cell]
Ce 0.000 0.500 0.332 [4 per cell]
Pr 0.000 0.500 0.000 [2 per cell]
In 0.000 0.250 0.500 [4 per cell]
In 0.000 0.251 0.165 [8 per cell]

Largest 10 diffraction maxima, in order of rising 2θ, 2θ = 10–90°:
2θ = 32.32°, I = 100, (1 2 3); 2θ = 37.13°, I = 34, (2 0 0); 2θ = 38.20°, I = 16, (0 4 0); 2θ = 53.52°, I = 12, (2 0 6); 2θ = 54.33°, I = 22, (2 4 0); 2θ = 63.85°, I = 13, (1 2 9); 2θ = 63.98°, I = 14, (3 2 3); 2θ = 65.37°, I = 13, (1 6 3); 2θ = 67.64°, I = 11, (2 4 6); 2θ = 89.41°, I = 6, (3 6 3)

10.
Ce3PrIn6: computed X-ray diffraction stick pattern (Cu Ka), based on a PBE-relaxed structure.
Peak positions follow from Bragg's law for the DFT cell and can differ from measured ones.

Cell lengths 19.8150, 19.8150, 3.3207 Å; angles 90.00, 90.00, 120.00 degrees
Space group R3m (No. 160, hexagonal axes)
Unique sites:
Ce 0.0952 0.1905 0.0000 [9 per cell]
Pr 0.0000 0.0000 0.9851 [3 per cell]
In 0.1618 0.0809 0.4689 [9 per cell]
In 0.1793 0.3586 0.5549 [9 per cell]

Largest 10 diffraction maxima, in order of rising 2θ, 2θ = 10–90°:
2θ = 15.49°, I = 56, (3 0 0); 2θ = 17.91°, I = 30, (2 2 0); 2θ = 27.00°, I = 45, (3 3 0); 2θ = 32.59°, I = 38, (5 2 0); 2θ = 32.89°, I = 92, (1 3 1); 2θ = 34.14°, I = 90, (4 0 1); 2θ = 35.36°, I = 32, (3 2 1); 2θ = 36.27°, I = 100, (4 4 0); 2θ = 46.02°, I = 30, (7 0 1); 2θ = 65.21°, I = 35, (3 4 2)

11.
CePr4In4: computed X-ray diffraction stick pattern (Cu Ka), based on a PBE-relaxed structure.
Peak positions follow from Bragg's law for the DFT cell and can differ from measured ones.

Cell lengths 7.302, 7.302, 11.115 Å; angles 90.00, 90.00, 90.00 degrees
Space group P4_2/nmc (No. 137, origin choice 2)
Unique sites:
Ce 0.250 0.750 0.250 [2 per cell]
Pr 0.025 0.250 0.174 [8 per cell]
In 0.021 0.250 0.474 [8 per cell]

Largest 10 diffraction maxima, in order of rising 2θ, 2θ = 10–90°:
2θ = 20.08°, I = 11, (1 0 2); 2θ = 28.49°, I = 62, (2 1 1); 2θ = 34.50°, I = 100, (2 0 3); 2θ = 34.75°, I = 32, (2 2 0); 2θ = 42.73°, I = 11, (2 1 4); 2θ = 49.96°, I = 18, (4 0 0); 2θ = 56.20°, I = 14, (3 2 4); 2θ = 61.62°, I = 13, (2 2 6); 2θ = 62.13°, I = 29, (4 2 3); 2θ = 69.88°, I = 9, (5 2 1)

12.
Ce6PrIn2: computed X-ray diffraction stick pattern (Cu Ka), based on a PBE-relaxed structure.
Peak positions follow from Bragg's law for the DFT cell and can differ from measured ones.

Cell lengths 9.4943, 9.4943, 3.1474 Å; angles 90.00, 90.00, 120.00 degrees
Space group P6/mmm (No. 191)
Unique sites:
Ce 0.0000 0.3527 0.0000 [6 per cell]
Pr 0.0000 0.0000 0.5000 [1 per cell]
In 0.3333 0.6667 0.5000 [2 per cell]

Largest 10 diffraction maxima, in order of rising 2θ, 2θ = 10–90°:
2θ = 32.67°, I = 100, (3 0 0); 2θ = 34.18°, I = 80, (1 1 1); 2θ = 43.80°, I = 12, (3 0 1); 2θ = 48.01°, I = 29, (2 2 1); 2θ = 58.31°, I = 17, (3 3 0); 2θ = 59.28°, I = 29, (4 1 1); 2θ = 68.47°, I = 10, (6 0 0); 2θ = 68.79°, I = 23, (3 0 2); 2θ = 78.79°, I = 11, (5 2 1); 2θ = 87.40°, I = 11, (3 3 2)